Record 1
# CaLa6Nd4
Computed X-ray diffraction stick pattern, Cu Kα (λ = 1.5418 Å). Input: a cell relaxed with GGA-PBE.
Peak positions follow from Bragg's law for the DFT cell and can differ from measured ones.

Principal peaks in the range 10 to 80 degrees two-theta, by angle:
Position (°2θ)	d (Å)	I/Imax
21.1	4.213	23
27.7	3.219	61
28.1	3.174	42
29.0	3.083	34
29.7	3.006	100
33.5	2.678	23
36.3	2.473	36
41.9	2.158	27
47.9	1.900	26
49.3	1.849	23

Atomic structure:
```
data_CaLa6Nd4
_chemical_formula_sum 'Ca1 La6 Nd4'
_space_group_name_H-M_alt 'P 1'
_space_group_IT_number 1
_cell_length_a 9.8953
_cell_length_b 9.8953
_cell_length_c 9.8953
_cell_angle_alpha 139.65
_cell_angle_beta 139.65
_cell_angle_gamma 58.39
loop_
_space_group_symop_operation_xyz
'x,y,z'
loop_
_atom_site_label
_atom_site_type_symbol
_atom_site_fract_x
_atom_site_fract_y
_atom_site_fract_z
Ca1 Ca 0.0000 0.0000 0.0000
La1 La 0.0000 0.5000 0.5000
La2 La 0.2246 0.2246 0.6862
La3 La 0.4617 0.7754 0.0000
La4 La 0.5000 0.0000 0.5000
La5 La 0.5383 0.5383 0.3138
La6 La 0.7754 0.4617 0.0000
Nd1 Nd 0.0075 0.0075 0.6397
Nd2 Nd 0.3679 0.3679 0.3604
Nd3 Nd 0.6321 0.9925 0.0000
Nd4 Nd 0.9925 0.6321 0.0000
```

=====

Record 2
# Ca2LaNd7
Computed X-ray diffraction stick pattern, Cu Kα (λ = 1.5418 Å). Input: a cell relaxed with GGA-PBE.
Peak positions follow from Bragg's law for the DFT cell and can differ from measured ones.

Principal peaks in the range 10 to 80 degrees two-theta, by angle:
Position (°2θ)	d (Å)	I/Imax
29.8	3.000	100
31.6	2.828	22
32.0	2.796	20
39.4	2.285	12
45.6	1.988	16
51.4	1.777	11
55.2	1.664	17
55.6	1.653	8
59.9	1.545	14
61.0	1.520	6

Atomic structure:
```
data_Ca2LaNd7
_chemical_formula_sum 'Ca2 La1 Nd7'
_space_group_name_H-M_alt 'P 1'
_space_group_IT_number 1
_cell_length_a 9.9757
_cell_length_b 9.9757
_cell_length_c 9.9757
_cell_angle_alpha 147.07
_cell_angle_beta 137.64
_cell_angle_gamma 54.67
loop_
_space_group_symop_operation_xyz
'x,y,z'
loop_
_atom_site_label
_atom_site_type_symbol
_atom_site_fract_x
_atom_site_fract_y
_atom_site_fract_z
Ca1 Ca 0.2003 0.2003 0.0000
Ca2 Ca 0.7997 0.7997 0.0000
La1 La 0.5000 0.0000 0.5000
Nd1 Nd 0.0000 0.0000 0.0000
Nd2 Nd 0.1508 0.3967 0.7541
Nd3 Nd 0.3050 0.8050 0.5000
Nd4 Nd 0.3575 0.6033 0.7541
Nd5 Nd 0.6425 0.3967 0.2459
Nd6 Nd 0.6950 0.1950 0.5000
Nd7 Nd 0.8492 0.6033 0.2459
```

=====

Record 3
# CaLa2Pr4Nd2
Computed X-ray diffraction stick pattern, Cu Kα (λ = 1.5418 Å). Input: a cell relaxed with GGA-PBE.
Peak positions follow from Bragg's law for the DFT cell and can differ from measured ones.

Principal peaks in the range 10 to 80 degrees two-theta, by angle:
Position (°2θ)	d (Å)	I/Imax
27.7	3.222	21
28.3	3.154	21
29.5	3.026	55
30.5	2.933	100
31.9	2.804	32
32.1	2.785	63
36.0	2.494	18
48.4	1.880	27
51.9	1.761	20
58.0	1.590	21

Atomic structure:
```
data_CaLa2Pr4Nd2
_chemical_formula_sum 'Ca1 La2 Pr4 Nd2'
_space_group_name_H-M_alt 'P 1'
_space_group_IT_number 1
_cell_length_a 9.9652
_cell_length_b 9.9652
_cell_length_c 10.0845
_cell_angle_alpha 115.31
_cell_angle_beta 115.31
_cell_angle_gamma 21.62
loop_
_space_group_symop_operation_xyz
'x,y,z'
loop_
_atom_site_label
_atom_site_type_symbol
_atom_site_fract_x
_atom_site_fract_y
_atom_site_fract_z
Ca1 Ca 0.0000 0.0000 0.0000
La1 La 0.3296 0.3296 0.0018
La2 La 0.6704 0.6704 0.9982
Pr1 Pr 0.1866 0.1866 0.3376
Pr2 Pr 0.4811 0.4811 0.6586
Pr3 Pr 0.5189 0.5189 0.3414
Pr4 Pr 0.8134 0.8134 0.6624
Nd1 Nd 0.1485 0.1485 0.6673
Nd2 Nd 0.8515 0.8515 0.3327
```